This entry pairs a crystal structure of CeMgCd2Ag2 with its calculated PXRD pattern. Radiation: a wavelength of 1.5418 Å. Structure: a DFT-relaxed cell (PBE, Alexandria).

Structure:
a b c (Å): 4.844 4.844 6.807
angles (deg): 90.00 90.00 120.00
Sites, in units of the cell vectors:
Ce1 0.000 0.000 0.000
Mg1 0.000 0.000 0.500
Cd1 0.333 0.667 0.721
Cd2 0.667 0.333 0.279
Ag1 0.333 0.667 0.270
Ag2 0.667 0.333 0.730

The 10 most intense peaks (10 to 90 degrees two-theta), in order of falling intensity:
2.422 Å, 2θ = 37.1°, I 100
2.643 Å, 2θ = 33.9°, I 97
3.571 Å, 2θ = 24.9°, I 32
1.786 Å, 2θ = 51.2°, I 29
1.437 Å, 2θ = 64.9°, I 28
1.392 Å, 2θ = 67.2°, I 24
1.973 Å, 2θ = 46.0°, I 20
1.398 Å, 2θ = 66.9°, I 17
1.656 Å, 2θ = 55.5°, I 16
3.403 Å, 2θ = 26.2°, I 16

This entry pairs a crystal structure of Ce2ThCd2Ag2 with its calculated PXRD pattern. Radiation: a wavelength of 1.5418 Å. Structure: a DFT-relaxed cell (PBE, Alexandria).

Structure:
a b c (Å): 8.779 8.779 8.779
angles (deg): 32.47 32.47 32.47
Sites, in units of the cell vectors:
Ce1 0.137 0.137 0.137
Ce2 0.863 0.863 0.863
Th1 0.000 0.000 0.000
Cd1 0.268 0.268 0.268
Cd2 0.732 0.732 0.732
Ag1 0.409 0.409 0.409
Ag2 0.591 0.591 0.591

The 10 most intense peaks (10 to 90 degrees two-theta), in order of falling intensity:
2.455 Å, 2θ = 36.6°, I 100
2.730 Å, 2θ = 32.8°, I 96
2.513 Å, 2θ = 35.7°, I 36
1.825 Å, 2θ = 50.0°, I 29
1.465 Å, 2θ = 63.5°, I 28
1.376 Å, 2θ = 68.1°, I 25
1.417 Å, 2θ = 65.9°, I 17
4.191 Å, 2θ = 21.2°, I 15
1.428 Å, 2θ = 65.3°, I 12
1.756 Å, 2θ = 52.1°, I 12